# 1
The following is a simulated powder XRD pattern of FeCoO2. It was derived from a crystal structure in the Materials Project, relaxed with GGA+U, using copper Kα.

Crystal structure
Cell lengths 2.9726, 2.9726, 11.4379 Å; angles 90.00, 90.00, 120.00 degrees
Element x y z (fractional)
Fe1 0.0000 0.0000 0.0000
Fe2 0.0000 0.0000 0.5000
Co1 0.3333 0.6667 0.2500
Co2 0.6667 0.3333 0.7500
O1 0.3333 0.6667 0.0888
O2 0.3333 0.6667 0.4112
O3 0.6667 0.3333 0.5888
O4 0.6667 0.3333 0.9112

Principal peaks in the range 10° ≤ 2θ ≤ 90°, by angle:
two_theta  d (Å)  Rel. int.
31.3  2.859  43
35.8  2.512  85
38.3  2.347  100
42.4  2.134  8
47.5  1.913  10
53.6  1.710  20
60.4  1.532  37
62.5  1.486  34
67.9  1.380  11
71.5  1.319  22
74.1  1.279  8
75.7  1.256  12

***

# 2
The following is a simulated powder XRD pattern of FeCo3O8. It was derived from a crystal structure in the Materials Project, relaxed with GGA+U, using copper Kα.

Crystal structure
Cell lengths 5.6135, 5.6135, 8.9063 Å; angles 90.00, 90.00, 120.00 degrees
Element x y z (fractional)
Fe1 0.3333 0.6667 0.0000
Fe2 0.6667 0.3333 0.5000
Co1 0.1678 0.3356 0.7164
Co2 0.1678 0.8322 0.7164
Co3 0.3356 0.1678 0.2164
Co4 0.6644 0.8322 0.7164
Co5 0.8322 0.1678 0.2164
Co6 0.8322 0.6644 0.2164
O1 0.0000 0.0000 0.3234
O2 0.0000 0.0000 0.8234
O3 0.0391 0.5196 0.8341
O4 0.1601 0.3203 0.1099
O5 0.1601 0.8399 0.1099
O6 0.3203 0.1601 0.6099
O7 0.3333 0.6667 0.6048
O8 0.4804 0.5196 0.8341
O9 0.4804 0.9609 0.8341
O10 0.5196 0.0391 0.3341
O11 0.5196 0.4804 0.3341
O12 0.6667 0.3333 0.1048
O13 0.6797 0.8399 0.1099
O14 0.8399 0.1601 0.6099
O15 0.8399 0.6797 0.6099
O16 0.9609 0.4804 0.3341

Principal peaks in the range 10° ≤ 2θ ≤ 90°, by angle:
two_theta  d (Å)  Rel. int.
19.9  4.453  82
20.8  4.267  100
27.2  3.284  33
35.4  2.534  33
37.9  2.374  50
38.4  2.345  59
42.4  2.134  39
48.4  1.881  55
56.0  1.642  21
59.1  1.562  19
64.9  1.437  43
66.6  1.403  36